[1]
Simulated powder XRD pattern of Cu15Te2 for Cu Ka, from a DFT-relaxed cell (PBE, OQMD).
Intensities are scaled so that the largest is 100.

Crystal structure
```
34
Lattice="10.705 0.000 0.000 0.000 2.708 0.000 -0.616 0.000 28.296" Properties=species:S:1:pos:R:3 pbc="T T T"
Cu 0.242 0.677 2.655
Cu -0.200 0.677 23.616
Cu 0.877 2.031 0.612
Cu 1.334 0.677 5.924
Cu 0.900 0.677 26.884
Cu 1.545 2.031 24.851
Cu 2.013 2.031 3.909
Cu 2.630 0.677 1.835
Cu 2.189 0.677 22.761
Cu 2.661 2.031 28.097
Cu 3.704 0.677 5.169
Cu 3.306 0.677 26.054
Cu 4.380 2.031 3.052
Cu 3.946 2.031 24.013
Cu 5.030 0.677 1.017
Cu 5.059 2.031 27.279
Cu 6.143 0.677 4.282
Cu 5.710 0.677 25.244
Cu 6.783 2.031 2.242
Cu 6.385 2.031 23.126
Cu 7.428 0.677 0.199
Cu 7.900 2.031 5.535
Cu 7.459 2.031 26.460
Cu 8.076 0.677 24.387
Cu 8.544 0.677 3.444
Cu 9.190 2.031 1.411
Cu 8.755 2.031 22.372
Cu 9.212 0.677 27.683
Cu 10.289 2.031 4.679
Cu 9.848 2.031 25.641
Te 0.382 2.031 21.053
Te 4.611 0.677 21.492
Te 5.479 2.031 6.803
Te 9.708 0.677 7.243
```

Peak list (10 most intense, 5 to 70 degrees two-theta, in order of rising 2θ)
9.38 deg, intensity 60; 41.10 deg, intensity 100; 42.90 deg, intensity 49; 43.01 deg, intensity 78; 43.56 deg, intensity 31; 44.49 deg, intensity 46; 45.65 deg, intensity 30; 48.66 deg, intensity 45; 49.39 deg, intensity 69; 51.73 deg, intensity 26

---

[2]
Simulated powder XRD pattern of Cu7Te4 for Cu Ka, from a DFT-relaxed cell (PBE, OQMD).
Intensities are scaled so that the largest is 100.

Crystal structure
```
44
Lattice="7.259 0.000 0.000 0.000 8.180 0.000 -0.122 0.000 36.181" Properties=species:S:1:pos:R:3 pbc="T T T"
Cu 0.000 0.000 0.000
Cu 0.038 4.090 7.233
Cu 1.304 0.000 11.933
Cu 1.391 1.890 1.064
Cu 1.391 6.289 1.064
Cu 1.510 4.090 5.057
Cu 1.663 2.391 8.192
Cu 1.663 5.789 8.192
Cu 1.773 4.090 36.039
Cu 2.228 2.090 3.574
Cu 2.228 6.090 3.574
Cu 2.235 0.000 7.247
Cu 2.224 1.966 10.589
Cu 2.224 6.213 10.589
Cu 3.100 2.030 35.329
Cu 3.100 6.149 35.329
Cu 3.275 2.120 6.053
Cu 3.275 6.060 6.053
Cu 3.299 0.000 2.214
Cu 3.368 4.090 9.608
Cu 3.612 0.000 11.389
Cu 3.929 2.345 1.469
Cu 3.929 5.835 1.469
Cu 3.990 4.090 4.565
Cu 4.145 1.888 8.598
Cu 4.145 6.292 8.598
Cu 5.440 0.000 9.660
Cu 5.483 4.090 2.455
Te 0.634 1.820 5.912
Te 0.634 6.360 5.912
Te 0.651 0.000 2.654
Te 0.686 4.090 9.961
Te 0.659 2.030 34.707
Te 0.659 6.150 34.707
Te 0.768 0.000 9.490
Te 0.836 4.090 2.426
Te 4.477 0.000 36.048
Te 4.675 4.090 7.228
Te 4.755 2.215 11.143
Te 4.755 5.965 11.143
Te 4.686 4.090 35.930
Te 4.861 1.800 3.771
Te 4.861 6.380 3.771
Te 4.857 0.000 7.007
```

Peak list (10 most intense, 5 to 70 degrees two-theta, in order of rising 2θ)
7.33 deg, intensity 98; 9.78 deg, intensity 100; 24.54 deg, intensity 60; 24.65 deg, intensity 58; 26.88 deg, intensity 60; 27.89 deg, intensity 56; 41.32 deg, intensity 56; 43.56 deg, intensity 86; 44.34 deg, intensity 97; 45.29 deg, intensity 88

---

[3]
Simulated powder XRD pattern of Cu16Te for Cu Ka, from a DFT-relaxed cell (PBE, OQMD).
Intensities are scaled so that the largest is 100.

Crystal structure
```
34
Lattice="4.377 0.000 0.000 0.025 6.694 0.000 0.199 0.062 27.505" Properties=species:S:1:pos:R:3 pbc="T T T"
Cu 0.375 1.242 7.987
Cu 0.481 5.046 15.137
Cu 0.481 6.005 12.766
Cu 0.449 0.255 10.381
Cu 0.516 4.114 17.525
Cu 0.555 3.164 19.833
Cu 1.210 2.666 15.547
Cu 1.208 3.611 13.158
Cu 1.194 4.571 10.778
Cu 1.239 1.703 17.918
Cu 1.212 5.506 8.322
Cu 1.863 3.091 8.785
Cu 1.931 0.262 15.938
Cu 1.929 1.225 13.569
Cu 1.922 2.168 11.178
Cu 2.003 6.009 18.361
Cu 2.598 0.747 9.144
Cu 2.679 4.588 16.328
Cu 2.672 5.531 13.937
Cu 2.670 6.494 11.568
Cu 2.738 3.666 18.720
Cu 3.390 1.250 19.184
Cu 3.362 5.053 9.588
Cu 3.407 2.185 16.727
Cu 3.393 3.145 14.348
Cu 3.391 4.090 11.959
Cu 4.047 3.592 7.672
Cu 4.086 2.642 9.980
Cu 4.152 6.501 17.124
Cu 4.120 0.751 14.739
Cu 4.120 1.710 12.369
Cu 4.226 5.515 19.519
Te 1.215 0.761 20.657
Te 3.386 5.995 6.848
```

Peak list (10 most intense, 5 to 70 degrees two-theta, in order of rising 2θ)
9.65 deg, intensity 100; 41.73 deg, intensity 65; 43.00 deg, intensity 70; 43.57 deg, intensity 53; 43.75 deg, intensity 68; 43.93 deg, intensity 60; 44.77 deg, intensity 44; 45.18 deg, intensity 49; 49.58 deg, intensity 44; 50.98 deg, intensity 40

---

[4]
Simulated powder XRD pattern of Cu15Te2 for Cu Ka, from a DFT-relaxed cell (PBE, OQMD).
Intensities are scaled so that the largest is 100.

Crystal structure
```
17
Lattice="4.975 -1.398 0.000 4.975 1.398 0.000 -1.400 0.000 26.101" Properties=species:S:1:pos:R:3 pbc="T T T"
Cu 0.000 0.000 0.000
Cu -0.727 0.000 23.578
Cu -0.044 0.000 20.880
Cu 1.611 0.000 5.953
Cu 2.470 0.000 3.470
Cu 3.096 0.000 0.849
Cu 2.330 0.000 24.398
Cu 3.056 0.000 21.928
Cu 5.493 0.000 4.173
Cu 6.219 0.000 1.703
Cu 5.454 0.000 25.252
Cu 6.080 0.000 22.631
Cu 6.939 0.000 20.147
Cu 8.593 0.000 5.221
Cu 9.277 0.000 2.523
Te 3.829 0.000 18.724
Te 4.721 0.000 7.377
```

Peak list (10 most intense, 5 to 70 degrees two-theta, in order of rising 2θ)
6.77 deg, intensity 81; 13.57 deg, intensity 11; 39.87 deg, intensity 11; 41.07 deg, intensity 13; 42.60 deg, intensity 70; 43.14 deg, intensity 100; 44.65 deg, intensity 28; 45.65 deg, intensity 52; 48.21 deg, intensity 26; 57.18 deg, intensity 15